[1]
The following is a simulated powder diffractogram of HfSc3Ni2. It was derived from a GGA-PBE-relaxed structure, using λ = 1.5418 Å (Cu Kα).
Intensities are scaled so that the largest is 100.

Cell: 4.467 7.988 6.265 Å, 90.00 90.00 90.00°
Atoms (fractional coordinates):
Hf  0.000  0.074  0.000
Hf  0.000  0.926  0.500
Sc  0.000  0.334  0.632
Sc  0.000  0.666  0.132
Sc  0.500  0.171  0.341
Sc  0.500  0.420  0.970
Sc  0.500  0.580  0.470
Sc  0.500  0.829  0.841
Ni  0.000  0.339  0.220
Ni  0.000  0.661  0.720
Ni  0.500  0.147  0.755
Ni  0.500  0.853  0.255

Principal peaks in the range 2θ = 10–90°, sorted by position:
2θ 11.08, rel. 76; 2θ 19.87, rel. 25; 2θ 33.32, rel. 77; 2θ 34.99, rel. 30; 2θ 36.45, rel. 23; 2θ 36.67, rel. 32; 2θ 36.81, rel. 100; 2θ 39.39, rel. 33; 2θ 40.38, rel. 48; 2θ 42.04, rel. 23

***

[2]
The following is a simulated powder diffractogram of Li2Zn7Ni. It was derived from a GGA-PBE-relaxed structure, using λ = 1.5418 Å (Cu Kα).
Intensities are scaled so that the largest is 100.

Cell: 4.188 4.188 10.363 Å, 90.00 90.00 120.00°
Atoms (fractional coordinates):
Li  0.000  0.000  0.000
Li  0.333  0.667  0.581
Zn  0.000  0.000  0.246
Zn  0.000  0.000  0.734
Zn  0.333  0.667  0.086
Zn  0.333  0.667  0.330
Zn  0.333  0.667  0.833
Zn  0.667  0.333  0.424
Zn  0.667  0.333  0.925
Ni  0.667  0.333  0.176

Principal peaks in the range 2θ = 10–90°, sorted by position:
2θ 17.11, rel. 28; 2θ 26.03, rel. 12; 2θ 30.07, rel. 49; 2θ 42.90, rel. 100; 2θ 43.20, rel. 97; 2θ 46.79, rel. 12; 2θ 62.51, rel. 31; 2θ 78.39, rel. 13; 2θ 79.02, rel. 30; 2θ 79.23, rel. 15

***

[3]
The following is a simulated powder diffractogram of LiMgZnCd2. It was derived from a GGA-PBE-relaxed structure, using λ = 1.5418 Å (Cu Kα).
Intensities are scaled so that the largest is 100.

Cell: 5.018 5.855 6.764 Å, 90.00 90.00 90.00°
Atoms (fractional coordinates):
Li  0.250  0.000  0.158
Li  0.750  0.000  0.842
Mg  0.250  0.500  0.351
Mg  0.750  0.500  0.649
Zn  0.000  0.000  0.500
Zn  0.500  0.000  0.500
Cd  0.250  0.260  0.819
Cd  0.250  0.740  0.819
Cd  0.750  0.260  0.181
Cd  0.750  0.740  0.181

Principal peaks in the range 2θ = 10–90°, sorted by position:
2θ 22.05, rel. 100; 2θ 31.91, rel. 44; 2θ 33.35, rel. 34; 2θ 37.99, rel. 78; 2θ 39.99, rel. 23; 2θ 40.77, rel. 26; 2θ 44.75, rel. 21; 2θ 44.98, rel. 24; 2θ 47.74, rel. 29; 2θ 63.98, rel. 28

***

[4]
The following is a simulated powder diffractogram of Tb2Pm2Sn. It was derived from a GGA-PBE-relaxed structure, using λ = 1.5418 Å (Cu Kα).
Intensities are scaled so that the largest is 100.

Cell: 9.232 9.232 9.232 Å, 152.58 152.58 39.17°
Atoms (fractional coordinates):
Tb  0.250  0.750  0.500
Tb  0.750  0.250  0.500
Pm  0.086  0.086  0.000
Pm  0.914  0.914  0.000
Sn  0.500  0.500  0.000

Principal peaks in the range 2θ = 10–90°, sorted by position:
2θ 30.66, rel. 100; 2θ 30.84, rel. 18; 2θ 32.89, rel. 38; 2θ 35.61, rel. 26; 2θ 41.25, rel. 36; 2θ 41.80, rel. 17; 2θ 52.38, rel. 16; 2θ 53.73, rel. 19; 2θ 61.11, rel. 17; 2θ 68.69, rel. 27

***

[5]
The following is a simulated powder diffractogram of Pm3CoSe. It was derived from a GGA-PBE-relaxed structure, using λ = 1.5418 Å (Cu Kα).
Intensities are scaled so that the largest is 100.

Cell: 7.964 3.925 8.528 Å, 90.00 105.25 90.00°
Atoms (fractional coordinates):
Pm  0.080  0.250  0.250
Pm  0.308  0.250  0.942
Pm  0.330  0.750  0.593
Pm  0.670  0.250  0.407
Pm  0.692  0.750  0.058
Pm  0.920  0.750  0.750
Co  0.054  0.250  0.574
Co  0.946  0.750  0.426
Se  0.389  0.750  0.234
Se  0.611  0.250  0.766

Principal peaks in the range 2θ = 10–90°, sorted by position:
2θ 28.93, rel. 100; 2θ 31.52, rel. 33; 2θ 31.63, rel. 55; 2θ 32.38, rel. 40; 2θ 32.62, rel. 43; 2θ 35.04, rel. 30; 2θ 35.75, rel. 67; 2θ 37.61, rel. 26; 2θ 39.26, rel. 35; 2θ 46.26, rel. 37

***

[6]
The following is a simulated powder diffractogram of PmBS4. It was derived from a GGA-PBE-relaxed structure, using λ = 1.5418 Å (Cu Kα).
Intensities are scaled so that the largest is 100.

Cell: 5.498 5.498 8.841 Å, 90.00 90.00 80.22°
Atoms (fractional coordinates):
Pm  0.158  0.842  0.750
Pm  0.842  0.158  0.250
B  0.352  0.648  0.250
B  0.648  0.352  0.750
S  0.191  0.809  0.077
S  0.191  0.809  0.423
S  0.311  0.316  0.750
S  0.316  0.311  0.250
S  0.684  0.689  0.750
S  0.689  0.684  0.250
S  0.809  0.191  0.577
S  0.809  0.191  0.923

Principal peaks in the range 2θ = 10–90°, sorted by position:
2θ 16.36, rel. 35; 2θ 19.21, rel. 66; 2θ 20.09, rel. 75; 2θ 21.13, rel. 60; 2θ 27.12, rel. 29; 2θ 33.07, rel. 30; 2θ 34.64, rel. 100; 2θ 39.64, rel. 36; 2θ 45.48, rel. 34; 2θ 46.50, rel. 32